(1)
# Mg2Co3O8
Simulated X-ray powder pattern, Cu Kα (λ = 1.5418 Å). Input: DFT lattice parameters and positions (GGA+U).
Neutral-atom scattering factors, no anomalous dispersion.

Structural model:
```
13
Lattice="5.0392 -2.8288 0.0000 5.0392 2.8288 0.0000 -1.6488 0.0000 4.5076" Properties=species:S:1:pos:R:3 pbc="T T T"
Mg 2.0123 0.0000 0.7090
Mg 6.4174 0.0000 3.7986
Co 4.2149 1.4617 2.2538
Co 5.0392 0.0000 0.0000
Co 4.2149 -1.4617 2.2538
O 0.3321 0.0000 1.9430
O 3.7509 1.2734 0.4363
O 4.6788 1.2734 4.0714
O 3.0181 0.0000 2.6316
O 5.4117 0.0000 1.8760
O 3.7509 -1.2734 0.4363
O 4.6788 -1.2734 4.0714
O 8.0977 0.0000 2.5646
```

Largest 10 diffraction maxima, in order of rising 2θ, 10 to 80 degrees two-theta:
| two_theta | I (rel.) |
| --- | --- |
| 18.27 | 24 |
| 18.75 | 100 |
| 29.31 | 32 |
| 32.61 | 22 |
| 38.91 | 48 |
| 40.00 | 25 |
| 48.91 | 47 |
| 50.48 | 22 |
| 59.73 | 24 |
| 67.24 | 24 |

(2)
# MgCo4Ag4O8
Simulated X-ray powder pattern, Cu Kα (λ = 1.5418 Å). Input: DFT lattice parameters and positions (GGA+U).
Neutral-atom scattering factors, no anomalous dispersion.

Structural model:
```
17
Lattice="2.6505 -1.5203 0.0000 2.6505 1.5203 0.0000 -0.3679 0.0000 26.6886" Properties=species:S:1:pos:R:3 pbc="T T T"
Mg 0.0000 0.0000 0.0000
Co 5.0974 0.0000 14.7483
Co 3.4700 0.0000 2.5118
Co 3.4064 0.0000 8.5484
Co 5.0081 0.0000 20.9855
Ag -0.0711 0.0000 5.4676
Ag 1.5510 0.0000 11.6325
Ag 1.4266 0.0000 24.2163
Ag 3.3401 0.0000 17.8626
O -0.0215 0.0000 7.5657
O 1.5337 0.0000 9.5320
O 1.5405 0.0000 13.7312
O 1.4241 0.0000 21.9869
O 1.7618 0.0000 0.8929
O 3.2690 0.0000 19.9595
O 3.3599 0.0000 15.7561
O 5.2275 0.0000 3.3503
```

Largest 10 diffraction maxima, in order of rising 2θ, 10 to 80 degrees two-theta:
| two_theta | I (rel.) |
| --- | --- |
| 26.72 | 49 |
| 30.14 | 79 |
| 34.61 | 100 |
| 34.72 | 52 |
| 35.45 | 32 |
| 35.57 | 43 |
| 36.72 | 48 |
| 37.95 | 45 |
| 38.14 | 43 |
| 60.62 | 50 |

(3)
# LiLa6Mn3O14
Simulated X-ray powder pattern, Cu Kα (λ = 1.5418 Å). Input: DFT lattice parameters and positions (GGA+U).
Neutral-atom scattering factors, no anomalous dispersion.

Structural model:
```
48
Lattice="5.5966 0.0000 0.0000 0.0000 5.6009 0.0000 -5.5288 0.0000 20.5507" Properties=species:S:1:pos:R:3 pbc="T T T"
Li 0.0000 0.0313 0.0000
Li -2.7644 5.5696 10.2754
La 0.0836 2.6983 1.8304
La -2.6809 2.9026 12.1058
La -2.6508 2.7229 15.9573
La 0.1137 2.8780 5.6820
La -0.0578 0.0545 8.5290
La -2.8222 5.5464 18.8043
La 0.1706 0.0494 12.1078
La 2.9351 5.5515 1.8324
La 0.0010 0.0707 15.9632
La 2.7654 5.5303 5.6878
La 2.9163 2.6760 8.5243
La 0.1519 2.9249 18.7997
Mn 0.0320 0.0077 3.9114
Mn -2.7325 5.5933 14.1868
Mn -2.6738 2.7744 20.4940
Mn 0.0906 2.8265 10.2187
Mn 2.8661 2.7726 3.9465
Mn 0.1017 2.8283 14.2218
O -0.3360 0.3688 1.9439
O -3.1004 5.2321 12.2193
O -4.0612 1.4382 20.4865
O -1.2968 4.1627 10.2112
O -1.2765 1.4640 10.5146
O 1.4879 4.1369 0.2393
O -0.2225 2.5236 7.9481
O -2.9870 3.0774 18.2234
O -2.4353 0.2984 16.4544
O 0.3291 5.3026 6.1790
O -1.2997 1.4319 13.8466
O 1.4647 4.1691 3.5712
O 1.4495 1.4114 3.9741
O -1.3149 4.1896 14.2494
O 3.1341 2.4999 2.0061
O 0.3697 3.1010 12.2815
O -1.3489 1.4555 20.0751
O 1.4156 4.1454 9.7997
O 1.4271 1.4391 10.2083
O -1.3374 4.1618 20.4836
O -0.1822 2.5466 16.3839
O 2.5822 3.0543 6.1085
O 3.1542 0.3114 7.9106
O 0.3898 5.2895 18.1860
O 1.4623 1.4121 14.2482
O 4.2267 4.1888 3.9729
O 4.2282 1.4168 4.4211
O 1.4638 4.1841 14.6964
```

Largest 10 diffraction maxima, in order of rising 2θ, 10 to 80 degrees two-theta:
| two_theta | I (rel.) |
| --- | --- |
| 22.88 | 33 |
| 26.01 | 29 |
| 31.37 | 100 |
| 31.97 | 64 |
| 38.16 | 9 |
| 41.64 | 26 |
| 44.06 | 10 |
| 45.85 | 40 |
| 56.57 | 30 |
| 56.69 | 9 |

(4)
# Li2Fe3F8
Simulated X-ray powder pattern, Cu Kα (λ = 1.5418 Å). Input: DFT lattice parameters and positions (GGA+U).
Neutral-atom scattering factors, no anomalous dispersion.

Structural model:
```
26
Lattice="5.5425 0.0000 0.0000 0.1392 6.2266 0.0000 0.7718 2.5741 9.3743" Properties=species:S:1:pos:R:3 pbc="T T T"
Li 1.2617 0.8877 1.5508
Li 2.3196 3.4792 7.8325
Li 4.1339 5.3215 1.5418
Li 5.1918 7.9131 7.8235
Fe 1.8770 6.7588 5.0246
Fe 2.2384 6.5809 9.3669
Fe 1.8349 3.6539 4.3857
Fe 4.6186 5.1468 4.9886
Fe 4.2151 2.2198 0.0074
Fe 4.5765 2.0419 4.3497
F 0.8207 5.3275 3.8035
F 1.2536 4.9587 8.2956
F 0.9132 1.9169 3.5866
F 1.5340 8.0156 8.0675
F 2.2983 5.4722 1.2895
F 2.3160 2.3902 1.0356
F 2.7482 5.0212 5.8156
F 2.8499 2.2240 5.5423
F 3.6035 6.5767 3.8321
F 3.7052 3.7795 3.5587
F 4.1375 6.4106 8.3388
F 4.1552 3.3285 8.0848
F 4.9195 0.7852 1.3069
F 5.5403 6.8838 5.7877
F 5.1999 3.8420 1.0787
F 5.6328 3.4732 5.5708
```

Largest 10 diffraction maxima, in order of rising 2θ, 10 to 80 degrees two-theta:
| two_theta | I (rel.) |
| --- | --- |
| 18.93 | 100 |
| 28.52 | 13 |
| 32.40 | 19 |
| 37.20 | 36 |
| 38.26 | 40 |
| 39.09 | 36 |
| 49.41 | 14 |
| 51.64 | 14 |
| 57.48 | 13 |
| 59.49 | 12 |